This entry pairs a crystal structure of MnTl2InF6 with its theoretical XRD peak list. Radiation: Cu Kα. Structure: the PBE+U geometry in Alexandria.

Principal peaks in the range 10 to 90 degrees two-theta, low angle first:
d [Å], intensity
4.444, 13
3.142, 100
2.566, 16
2.222, 32
1.987, 7
1.814, 42
1.571, 17
1.405, 19
1.188, 11
1.187, 11

Cell and atoms:
```
data_MnTl2InF6
_symmetry_space_group_name_H-M 'P 1'
_symmetry_Int_Tables_number 1
_cell_length_a 6.2846
_cell_length_b 6.2846
_cell_length_c 6.2846
_cell_angle_alpha 120.08
_cell_angle_beta 119.94
_cell_angle_gamma 89.98
loop_
_symmetry_equiv_pos_as_xyz
'x,y,z'
loop_
_atom_site_label
_atom_site_fract_x
_atom_site_fract_y
_atom_site_fract_z
Mn1 0.0000 0.0000 0.0000
Tl1 0.2494 0.7494 0.5000
Tl2 0.7506 0.2506 0.5000
In1 0.5000 0.5000 0.0000
F1 0.2394 0.2398 0.4792
F2 0.2394 0.7602 0.9995
F3 0.2396 0.2396 0.0000
F4 0.7604 0.7604 0.0000
F5 0.7606 0.2398 0.0005
F6 0.7606 0.7602 0.5208
```